[1]
The following is a simulated powder diffractogram of ZnSiAs2. It was derived from a DFT-relaxed cell (GGA-PBE, the Materials Project), using copper Kα.

Crystal structure
a b c (Å): 5.679 5.679 11.060
angles (deg): 90.00 90.00 90.00
Space group I-42d (No. 122)
Asymmetric unit:
Zn  0.000  0.000  0.000
Si  0.000  0.000  0.500
As  0.237  0.250  0.625

Principal peaks in the range 10 to 90 degrees two-theta, low angle first:
hkl  2θ (°)  intensity
1 0 1  17.55  4
1 1 2  27.45  100
2 2 0  45.16  24
2 0 4  45.80  46
3 1 2  53.66  29
1 1 6  54.80  14
4 0 0  65.77  7
3 3 2  72.67  6
3 1 6  73.64  11
4 2 4  83.83  15
2 2 8  85.22  7
5 1 2  89.83  7

[2]
The following is a simulated powder diffractogram of ZnSiAs2. It was derived from a DFT-relaxed cell (GGA-PBE, the Materials Project), using copper Kα.

Crystal structure
a b c (Å): 4.0103 4.0103 19.4810
angles (deg): 90.00 90.00 120.00
Space group R3m (No. 160, hexagonal axes)
Asymmetric unit:
Zn  0.0000  0.0000  0.0000
Si  0.0000  0.0000  0.5150
As  0.0000  0.0000  0.1315
As  0.0000  0.0000  0.6338

Principal peaks in the range 10 to 90 degrees two-theta, low angle first:
hkl  2θ (°)  intensity
0 0 3  13.64  10
0 1 2  27.26  100
0 0 6  27.47  37
1 1 0  45.22  49
0 1 8  45.49  45
2 0 2  53.61  15
1 1 6  53.73  33
1 0 10  53.97  11
2 0 8  66.09  14
1 2 2  72.68  12
3 0 0  83.51  8
1 2 8  83.70  15

[3]
The following is a simulated powder diffractogram of SmAs3. It was derived from a DFT-relaxed cell (GGA-PBE, the Materials Project), using copper Kα.

Crystal structure
a b c (Å): 4.146 4.146 10.074
angles (deg): 90.00 90.00 90.00
Space group I4/mmm (No. 139)
Asymmetric unit:
Sm  0.000  0.000  0.000
As  0.000  0.000  0.500
As  0.000  0.500  0.250

Principal peaks in the range 10 to 90 degrees two-theta, low angle first:
hkl  2θ (°)  intensity
0 0 2  17.61  5
1 0 1  23.20  10
1 0 3  34.37  4
1 1 2  35.43  100
0 0 4  35.65  25
2 0 0  43.66  28
2 1 1  50.02  3
2 0 4  57.59  24
2 2 0  63.46  9
1 1 6  63.89  18
3 1 2  74.83  22
2 2 4  74.96  11

[4]
The following is a simulated powder diffractogram of SmAs. It was derived from a DFT-relaxed cell (GGA-PBE, the Materials Project), using copper Kα.

Crystal structure
a b c (Å): 3.849 3.849 3.210
angles (deg): 90.00 90.00 90.00
Space group P4/mmm (No. 123)
Asymmetric unit:
Sm  0.000  0.000  0.000
As  0.500  0.500  0.500

Principal peaks in the range 10 to 90 degrees two-theta, low angle first:
hkl  2θ (°)  intensity
1 0 0  23.11  16
1 1 0  32.91  66
1 0 1  36.45  100
1 1 1  43.60  6
2 0 0  47.24  24
0 0 2  57.40  7
2 1 1  61.09  44
1 1 2  67.78  16
2 2 0  69.02  8
2 0 2  77.43  11
3 1 0  78.61  11
3 0 1  80.65  10

[5]
The following is a simulated powder diffractogram of SmAs3. It was derived from a DFT-relaxed cell (GGA-PBE, the Materials Project), using copper Kα.

Crystal structure
a b c (Å): 4.413 4.413 4.413
angles (deg): 90.00 90.00 90.00
Space group Pm-3m (No. 221)
Asymmetric unit:
Sm  0.000  0.000  0.000
As  0.000  0.500  0.500

Principal peaks in the range 10 to 90 degrees two-theta, low angle first:
hkl  2θ (°)  intensity
1 0 0  20.12  11
1 1 0  28.60  9
1 1 1  35.22  100
2 0 0  40.90  49
2 1 0  45.98  5
2 1 1  50.67  4
2 2 0  59.22  33
3 0 0  63.21  3
3 1 1  70.81  38
2 2 2  74.48  11
3 2 1  81.63  2
4 0 0  88.65  5

[6]
The following is a simulated powder diffractogram of SmAs. It was derived from a DFT-relaxed cell (GGA-PBE, the Materials Project), using copper Kα.

Crystal structure
a b c (Å): 5.963 5.963 5.963
angles (deg): 90.00 90.00 90.00
Space group Fm-3m (No. 225)
Asymmetric unit:
Sm  0.000  0.000  0.000
As  0.000  0.000  0.500

Principal peaks in the range 10 to 90 degrees two-theta, low angle first:
hkl  2θ (°)  intensity
1 1 1  25.88  19
2 0 0  29.97  100
2 2 0  42.90  75
3 1 1  50.78  9
2 2 2  53.21  27
4 0 0  62.28  12
3 3 1  68.60  4
4 2 0  70.64  34
4 2 2  78.59  25
5 1 1  84.40  3

[7]
The following is a simulated powder diffractogram of SrSn2As2. It was derived from a DFT-relaxed cell (GGA-PBE, the Materials Project), using copper Kα.

Crystal structure
a b c (Å): 4.2805 4.2805 27.1750
angles (deg): 90.00 90.00 120.00
Space group R-3m (No. 166, hexagonal axes)
Asymmetric unit:
Sr  0.0000  0.0000  0.0000
Sn  0.0000  0.0000  0.2099
As  0.0000  0.0000  0.4062

Principal peaks in the range 10 to 90 degrees two-theta, low angle first:
hkl  2θ (°)  intensity
1 0 4  27.41  6
0 1 5  29.16  100
1 0 10  41.19  33
1 1 0  42.23  39
2 0 5  52.14  20
1 1 9  52.40  6
0 1 14  53.27  5
0 2 10  60.46  11
1 1 15  67.77  11
1 2 5  69.25  17
2 1 10  76.49  11
3 0 0  77.20  7

[8]
The following is a simulated powder diffractogram of Sr3Sn2As4. It was derived from a DFT-relaxed cell (GGA-PBE, the Materials Project), using copper Kα.

Crystal structure
a b c (Å): 7.812 19.424 7.813
angles (deg): 90.00 111.78 90.00
Space group P2_1/c (No. 14)
Asymmetric unit:
Sr  0.212  0.183  0.010
Sr  0.259  0.060  0.511
Sr  0.263  0.561  0.505
Sn  0.208  0.622  0.029
Sn  0.322  0.744  0.910
As  0.004  0.055  0.759
As  0.023  0.683  0.222
As  0.474  0.194  0.773
As  0.491  0.063  0.247

Principal peaks in the range 10 to 90 degrees two-theta, low angle first:
hkl  2θ (°)  intensity
1 1 0  13.03  23
1 4 1  27.42  100
2 0 -2  27.58  48
2 3 -2  30.90  15
1 7 0  34.61  14
1 4 -3  39.28  59
2 0 2  41.21  32
3 5 -1  41.76  14
2 8 -2  46.78  18
0 0 4  50.30  17
0 8 4  64.08  13
1 12 -3  68.24  14

[9]
The following is a simulated powder diffractogram of Sr14Sn3As12. It was derived from a DFT-relaxed cell (GGA-PBE, the Materials Project), using copper Kα.

Crystal structure
a b c (Å): 13.2123 13.2123 17.4511
angles (deg): 90.00 90.00 120.00
Space group R3 (No. 146, hexagonal axes)
Asymmetric unit:
Sr  0.0000  0.0000  0.0077
Sr  0.0000  0.0000  0.7945
Sr  0.1105  0.3745  0.5174
Sr  0.1176  0.7372  0.2533
Sr  0.1182  0.7394  0.7598
Sr  0.1445  0.4043  0.0000
Sn  0.0000  0.0000  0.2171
Sn  0.0000  0.0000  0.4431
Sn  0.0000  0.0000  0.6073
As  0.0378  0.2045  0.6665
As  0.0424  0.8269  0.9070
As  0.0477  0.2110  0.1472
As  0.0547  0.8361  0.4116

Principal peaks in the range 10 to 90 degrees two-theta, low angle first:
hkl  2θ (°)  intensity
3 -1 4  29.07  65
4 -1 2  29.96  100
3 -2 5  32.98  22
2 -1 6  33.67  34
1 3 4  34.96  14
5 -3 2  35.72  30
4 1 0  35.97  45
4 -2 6  41.36  12
6 -2 2  43.11  16
5 2 0  49.76  13
5 2 6  59.64  16
7 0 4  60.47  14

[10]
The following is a simulated powder diffractogram of Sr5Sn2As6. It was derived from a DFT-relaxed cell (GGA-PBE, the Materials Project), using copper Kα.

Crystal structure
a b c (Å): 12.599 14.250 4.326
angles (deg): 90.00 90.00 90.00
Space group Pbam (No. 55)
Asymmetric unit:
Sr  0.000  0.000  0.000
Sr  0.121  0.243  0.000
Sr  0.131  0.567  0.000
Sn  0.214  0.895  0.500
As  0.076  0.398  0.500
As  0.131  0.804  0.000
As  0.170  0.079  0.500

Principal peaks in the range 10 to 90 degrees two-theta, low angle first:
hkl  2θ (°)  intensity
0 2 1  24.07  36
2 0 1  24.97  37
1 2 1  25.10  39
4 0 0  28.35  50
3 1 1  30.32  100
2 3 1  31.37  80
0 4 1  32.56  97
4 0 1  35.25  48
5 1 0  36.20  38
0 6 0  37.88  41
0 0 2  41.76  70
3 5 1  43.72  34

[11]
The following is a simulated powder diffractogram of Sr3As. It was derived from a DFT-relaxed cell (GGA-PBE, the Materials Project), using copper Kα.

Crystal structure
a b c (Å): 7.5663 7.5663 5.7881
angles (deg): 90.00 90.00 120.00
Space group P6_3/mmc (No. 194)
Asymmetric unit:
Sr  0.1756  0.3512  0.2500
As  0.3333  0.6667  0.7500

Principal peaks in the range 10 to 90 degrees two-theta, low angle first:
hkl  2θ (°)  intensity
2 0 0  27.22  24
0 0 2  30.90  24
2 0 1  31.37  100
2 0 2  41.64  15
2 2 0  48.10  19
2 0 3  55.25  20
2 2 2  58.27  21
4 0 1  58.56  16
4 0 3  76.24  7
4 2 1  79.08  12
2 2 4  84.26  8
6 0 0  89.85  8

[12]
The following is a simulated powder diffractogram of Sr3As4. It was derived from a DFT-relaxed cell (GGA-PBE, the Materials Project), using copper Kα.

Crystal structure
a b c (Å): 15.010 18.067 6.043
angles (deg): 90.00 90.00 90.00
Space group Fdd2 (No. 43)
Asymmetric unit:
Sr  0.000  0.000  0.000
Sr  0.003  0.333  0.031
As  0.085  0.170  0.022
As  0.086  0.003  0.501

Principal peaks in the range 10 to 90 degrees two-theta, low angle first:
hkl  2θ (°)  intensity
1 1 1  16.56  15
3 1 1  23.61  10
3 3 1  27.48  35
2 6 0  31.98  100
5 3 1  36.60  61
0 6 2  42.38  44
7 3 1  47.46  26
5 3 3  57.16  15
5 9 1  57.28  16
7 9 1  65.55  10
10 6 0  70.02  12
2 6 4  70.91  10

[13]
The following is a simulated powder diffractogram of Sr3As2. It was derived from a DFT-relaxed cell (GGA-PBE, the Materials Project), using copper Kα.

Crystal structure
a b c (Å): 5.810 5.810 5.810
angles (deg): 90.00 90.00 90.00
Space group Pm-3m (No. 221)
Asymmetric unit:
Sr  0.000  0.000  0.500
As  0.000  0.000  0.000
As  0.500  0.500  0.500

Principal peaks in the range 10 to 90 degrees two-theta, low angle first:
hkl  2θ (°)  intensity
1 0 0  15.25  24
1 1 0  21.63  13
1 1 1  26.57  78
2 0 0  30.78  100
2 1 0  34.52  13
2 2 0  44.09  73
3 1 1  52.22  35
2 2 2  54.73  26
4 0 0  64.11  12
3 3 1  70.67  14
4 2 0  72.80  33
4 2 2  81.09  25